Diffraction record for Bi3SbI3. The PXRD pattern is simulated, not measured: it uses a GGA-PBE-relaxed structure and Cu Ka.
No peak broadening, texture or thermal motion is included.

Structure:
a b c (Å): 10.6548 18.3684 6.6522
angles (deg): 90.00 90.00 90.00
Space group Cmcm (No. 63)
Symmetry-distinct sites (fractional):
Bi 0.0000 0.0910 0.2500 [4 per cell]
Bi 0.1451 0.3821 0.2500 [8 per cell]
Sb 0.0000 0.2531 0.2500 [4 per cell]
I 0.0000 0.0900 0.7500 [4 per cell]
I 0.2036 0.4083 0.7500 [8 per cell]

Main lines, low angle first (10° ≤ 2θ ≤ 80°):
| two_theta | I_rel |
| --- | --- |
| 16.44 | 93 |
| 19.33 | 80 |
| 25.55 | 97 |
| 26.80 | 100 |
| 29.17 | 40 |
| 33.26 | 42 |
| 35.15 | 56 |
| 37.37 | 73 |
| 37.70 | 56 |
| 40.01 | 45 |
| 44.74 | 57 |
| 67.16 | 25 |